No. 1
Calculated PXRD pattern of La2TeH for Cu Kα (λ = 1.5418 Å), from a structure optimized by DFT (PBE).
Neutral-atom scattering factors, no anomalous dispersion.

Top 10 peaks for 2θ from 5° to 70°, in order of rising 2θ:
2θ/deg  I_rel
27.85  100
28.29  18
28.65  36
29.05  19
39.81  54
40.09  13
40.65  14
40.97  13
57.49  10
65.20  11

Cell and atoms:
```
16
Lattice="6.400 0.000 0.000 0.000 6.417 0.000 -6.074 0.000 10.690" Properties=species:S:1:pos:R:3 pbc="T T T"
La 0.056 1.521 0.795
La -2.981 4.896 6.140
La -2.983 1.478 8.811
La 0.054 4.939 3.466
La 0.272 1.478 7.224
La 3.309 4.939 1.879
La 3.307 1.521 4.550
La 0.270 4.896 9.896
Te 0.107 1.736 4.008
Te -2.930 4.681 9.354
Te 3.256 1.736 1.337
Te 0.219 4.681 6.682
H -5.234 0.707 9.337
H -2.196 5.710 3.992
H 2.522 0.707 6.699
H 5.559 5.710 1.354
```

***

No. 2
Calculated PXRD pattern of La2TeH2 for Cu Kα (λ = 1.5418 Å), from a structure optimized by DFT (PBE).
Neutral-atom scattering factors, no anomalous dispersion.

Top 10 peaks for 2θ from 5° to 70°, in order of rising 2θ:
2θ/deg  I_rel
27.69  100
28.90  70
37.42  22
39.42  31
41.48  26
41.62  17
44.36  13
49.74  16
55.48  11
57.20  13

Cell and atoms:
```
10
Lattice="0.000 4.806 5.280 4.340 0.000 5.280 4.340 4.806 0.000" Properties=species:S:1:pos:R:3 pbc="T T T"
La 3.255 3.605 0.766
La 5.425 6.008 3.407
La 3.255 3.605 7.154
La 5.425 6.008 9.794
Te 3.255 3.605 3.960
Te 5.425 6.008 6.600
H 3.255 0.089 3.960
H 5.425 2.492 6.600
H 3.255 7.121 3.960
H 5.425 9.524 6.600
```

***

No. 3
Calculated PXRD pattern of La4Te4H for Cu Kα (λ = 1.5418 Å), from a structure optimized by DFT (PBE).
Neutral-atom scattering factors, no anomalous dispersion.

Top 10 peaks for 2θ from 5° to 70°, in order of rising 2θ:
2θ/deg  I_rel
27.52  100
29.18  6
33.89  10
35.27  7
39.31  69
48.66  22
56.86  7
60.65  7
64.17  5
64.30  18

Cell and atoms:
```
18
Lattice="9.160 0.000 0.000 0.000 9.160 0.000 0.000 0.000 6.494" Properties=species:S:1:pos:R:3 pbc="T T T"
La 0.205 6.870 0.223
La 2.290 4.785 3.024
La 2.290 8.955 3.024
La 4.375 6.870 0.223
La 4.785 2.290 6.271
La 6.870 0.205 3.469
La 6.870 4.375 3.469
La 8.955 2.290 6.271
Te 0.167 2.290 3.004
Te 2.290 0.167 6.251
Te 2.290 4.414 6.251
Te 4.414 2.290 3.004
Te 4.747 6.870 3.490
Te 6.870 4.747 0.243
Te 6.870 8.994 0.243
Te 8.994 6.870 3.490
H 2.290 6.870 1.623
H 6.870 2.290 4.870
```

***

No. 4
Calculated PXRD pattern of La4Te5H2 for Cu Kα (λ = 1.5418 Å), from a structure optimized by DFT (PBE).
Neutral-atom scattering factors, no anomalous dispersion.

Top 10 peaks for 2θ from 5° to 70°, in order of rising 2θ:
2θ/deg  I_rel
14.99  28
20.28  40
23.15  31
25.92  42
31.27  100
31.87  37
33.60  86
40.03  38
42.88  27
48.38  29

Cell and atoms:
```
11
Lattice="9.388 -2.253 0.000 9.388 2.253 0.000 -1.024 0.000 8.436" Properties=species:S:1:pos:R:3 pbc="T T T"
La 0.266 0.000 2.128
La 4.654 0.000 6.528
La 13.097 0.000 1.908
La 17.486 0.000 6.308
Te 1.612 0.000 8.153
Te 2.723 0.000 3.946
Te 8.876 0.000 4.218
Te 15.028 0.000 4.490
Te 16.139 0.000 0.283
H 7.069 0.000 6.674
H 10.682 0.000 1.762
```

***

No. 5
Calculated PXRD pattern of La2Th4H for Cu Kα (λ = 1.5418 Å), from a structure optimized by DFT (PBE).
Neutral-atom scattering factors, no anomalous dispersion.

Top 10 peaks for 2θ from 5° to 70°, in order of rising 2θ:
2θ/deg  I_rel
27.48  71
31.09  31
32.94  100
36.27  51
48.50  37
52.24  18
59.72  25
60.03  17
62.05  18
63.15  32

Cell and atoms:
```
7
Lattice="-2.476 2.476 8.631 2.476 -2.476 8.631 2.476 2.476 -8.631" Properties=species:S:1:pos:R:3 pbc="T T T"
La 0.000 0.000 2.605
La 0.000 0.000 14.658
Th 2.476 0.000 0.000
Th 0.000 0.000 6.014
Th 0.000 2.476 0.000
Th 0.000 0.000 11.248
H 0.000 0.000 8.631
```

***

No. 6
Calculated PXRD pattern of La4ThH10 for Cu Kα (λ = 1.5418 Å), from a structure optimized by DFT (PBE).
Neutral-atom scattering factors, no anomalous dispersion.

Top 10 peaks for 2θ from 5° to 70°, in order of rising 2θ:
2θ/deg  I_rel
5.46  14
27.53  34
27.67  100
32.01  66
45.82  26
45.99  26
54.29  16
54.47  46
57.13  13
66.94  8

Cell and atoms:
```
15
Lattice="1.973 1.139 16.198 -1.973 1.139 16.198 0.000 -2.279 16.198" Properties=species:S:1:pos:R:3 pbc="T T T"
La 0.000 0.000 4.887
La 0.000 0.000 14.561
La 0.000 0.000 34.031
La 0.000 0.000 43.705
Th 0.000 0.000 24.296
H 0.000 0.000 2.473
H 0.000 0.000 7.375
H 0.000 0.000 12.128
H 0.000 0.000 16.998
H 0.000 0.000 21.959
H 0.000 0.000 26.634
H 0.000 0.000 31.595
H 0.000 0.000 36.465
H 0.000 0.000 41.218
H 0.000 0.000 46.120
```

***

No. 7
Calculated PXRD pattern of LaTi2H for Cu Kα (λ = 1.5418 Å), from a structure optimized by DFT (PBE).
Neutral-atom scattering factors, no anomalous dispersion.

Top 10 peaks for 2θ from 5° to 70°, in order of rising 2θ:
2θ/deg  I_rel
18.17  18
29.89  72
35.20  100
36.83  13
46.84  5
53.06  29
56.51  16
56.61  16
62.10  24
65.26  3

Cell and atoms:
```
8
Lattice="-2.987 2.987 4.235 2.987 -2.987 4.235 2.987 2.987 -4.235" Properties=species:S:1:pos:R:3 pbc="T T T"
La 2.987 1.493 1.059
La 0.000 1.493 3.176
Ti 0.000 0.000 0.000
Ti 1.493 1.493 -2.118
Ti 1.493 -1.493 2.118
Ti 0.000 2.987 0.000
H 2.987 -1.493 3.176
H 0.000 4.480 1.059
```